For MgFe6O4F8, a crystal structure in Alexandria, relaxed with GGA+U gives the calculated powder diffraction line list in this record (copper Kα).
Lines closer than 0.1° are merged.

Principal peaks in the range 10 to 90 degrees two-theta, low angle first:
- 26.47 deg, I = 100, (1 1 2)
- 29.71 deg, I = 13, (-1 1 1)
- 31.39 deg, I = 10, (1 2 0)
- 31.75 deg, I = 16, (0 1 -2)
- 33.06 deg, I = 15, (1 0 -2)
- 36.31 deg, I = 12, (1 1 -2)
- 39.31 deg, I = 17, (2 2 0)
- 45.74 deg, I = 12, (2 2 3)
- 54.38 deg, I = 13, (2 -2 0)
- 54.55 deg, I = 14, (2 2 4)

Crystal structure
Unit cell a=5.748 b=6.033 c=7.511 alpha=76.49 beta=74.36 gamma=70.02
Atoms (fractional coordinates):
Mg  0.000  0.000  0.000
Fe  0.237  0.752  0.516
Fe  0.416  0.541  0.025
Fe  0.458  0.052  0.211
Fe  0.543  0.164  0.657
Fe  0.858  0.502  0.316
Fe  0.960  0.482  0.816
O  0.203  0.360  0.199
O  0.236  0.190  0.834
O  0.543  0.465  0.497
O  0.780  0.806  0.172
F  0.150  0.730  0.834
F  0.245  0.841  0.181
F  0.443  0.995  0.503
F  0.629  0.734  0.842
F  0.709  0.219  0.852
F  0.769  0.330  0.135
F  0.910  0.029  0.534
F  0.987  0.558  0.525